Entry 1:
The following is a computed X-ray diffraction stick pattern of CdO5. It was derived from a cell relaxed with PBE, using Cu Ka.

Main lines, in order of rising 2θ (2θ from 10° to 80°):
d/Å	Rel. int.
7.177	100
3.588	15
3.306	22
3.158	25
2.880	11
2.807	56
2.720	16
2.474	18
2.278	18
1.783	15

Cell lengths 3.8864, 3.8864, 7.2922 Å; angles 99.06, 99.06, 54.63 degrees
Atoms (fractional coordinates):
Cd: 0.0000 0.0000 0.0000
O: 0.2271 0.2271 0.6569
O: 0.2958 0.2958 0.8978
O: 0.3710 0.3710 0.5762
O: 0.6396 0.6396 0.2089
O: 0.8328 0.8328 0.2576

Entry 2:
The following is a computed X-ray diffraction stick pattern of CdOsO2. It was derived from a cell relaxed with PBE, using Cu Ka.

Main lines, in order of rising 2θ (2θ from 10° to 80°):
d/Å	Rel. int.
7.719	46
3.859	99
2.397	100
2.256	66
1.930	15
1.870	53
1.683	37
1.414	21
1.371	14
1.328	27

Cell lengths 7.8896, 7.8896, 7.8896 Å; angles 20.65, 20.65, 20.65 degrees
Atoms (fractional coordinates):
Cd: 0.0000 0.0000 0.0000
Os: 0.5000 0.5000 0.5000
O: 0.1107 0.1107 0.1107
O: 0.8893 0.8893 0.8893

Entry 3:
The following is a computed X-ray diffraction stick pattern of Rb2CdOsO4. It was derived from a cell relaxed with PBE, using Cu Ka.

Main lines, in order of rising 2θ (2θ from 10° to 80°):
d/Å	Rel. int.
4.843	25
3.199	57
2.867	100
2.262	26
1.776	50
1.603	17
1.599	9
1.433	12
1.431	13
1.397	11

Cell lengths 5.8481, 5.8481, 5.8481 Å; angles 113.68, 113.68, 101.35 degrees
Atoms (fractional coordinates):
Rb: 0.0000 0.0000 0.0000
Rb: 0.7500 0.2500 0.5000
Cd: 0.5000 0.5000 0.0000
Os: 0.2500 0.7500 0.5000
O: 0.1733 0.0651 0.6323
O: 0.4328 0.5410 0.3677
O: 0.4590 0.8267 0.8918
O: 0.9349 0.5672 0.1082

Entry 4:
The following is a computed X-ray diffraction stick pattern of Cd2SbOsO8. It was derived from a cell relaxed with PBE, using Cu Ka.

Main lines, in order of rising 2θ (2θ from 10° to 80°):
d/Å	Rel. int.
3.633	71
3.460	57
2.696	100
2.505	31
1.860	46
1.812	35
1.730	11
1.562	12
1.481	23
1.251	11

Cell lengths 5.0134, 6.3966, 5.0200 Å; angles 90.00, 92.80, 90.00 degrees
Atoms (fractional coordinates):
Cd: 0.0000 0.2500 0.0000
Cd: 0.0000 0.7500 0.0000
Sb: 0.5000 0.0000 0.5000
Os: 0.5000 0.5000 0.5000
O: 0.2209 0.0000 0.2192
O: 0.2356 0.5000 0.2340
O: 0.3258 0.2659 0.6726
O: 0.3258 0.7341 0.6726
O: 0.6742 0.2659 0.3274
O: 0.6742 0.7341 0.3274
O: 0.7644 0.5000 0.7660
O: 0.7791 0.0000 0.7808

Entry 5:
The following is a computed X-ray diffraction stick pattern of Cd5P3O13. It was derived from a cell relaxed with PBE, using Cu Ka.

Main lines, in order of rising 2θ (2θ from 10° to 80°):
d/Å	Rel. int.
4.178	27
3.158	41
3.080	32
2.851	100
2.785	48
2.732	59
1.950	31
1.823	24
1.810	30
1.767	26

Cell lengths 9.6485, 9.6485, 6.6278 Å; angles 90.00, 90.00, 120.00 degrees
Atoms (fractional coordinates):
Cd: 0.0131 0.2486 0.2500
Cd: 0.2355 0.9869 0.2500
Cd: 0.2486 0.2355 0.7500
Cd: 0.3333 0.6667 0.5010
Cd: 0.3333 0.6667 0.9990
Cd: 0.6667 0.3333 0.0010
Cd: 0.6667 0.3333 0.4990
Cd: 0.7514 0.7645 0.2500
Cd: 0.7645 0.0131 0.7500
Cd: 0.9869 0.7514 0.7500
P: 0.0231 0.6254 0.2500
P: 0.3746 0.3977 0.2500
P: 0.3977 0.0231 0.7500
P: 0.6023 0.9769 0.2500
P: 0.6254 0.6023 0.7500
P: 0.9769 0.3746 0.7500
O: 0.0000 0.0000 0.2500
O: 0.0000 0.0000 0.7500
O: 0.0744 0.7378 0.0629
O: 0.0744 0.7378 0.4371
O: 0.1253 0.5391 0.2500
O: 0.1580 0.4972 0.7500
O: 0.2622 0.3365 0.0629
O: 0.2622 0.3365 0.4371
O: 0.3365 0.0744 0.5629
O: 0.3365 0.0744 0.9371
O: 0.3392 0.8420 0.7500
O: 0.4138 0.8747 0.2500
O: 0.4609 0.5862 0.2500
O: 0.4972 0.3392 0.2500
O: 0.5028 0.6608 0.7500
O: 0.5391 0.4138 0.7500
O: 0.5862 0.1253 0.7500
O: 0.6608 0.1580 0.2500
O: 0.6635 0.9256 0.0629
O: 0.6635 0.9256 0.4371
O: 0.7378 0.6635 0.5629
O: 0.7378 0.6635 0.9371
O: 0.8420 0.5028 0.2500
O: 0.8747 0.4609 0.7500
O: 0.9256 0.2622 0.5629
O: 0.9256 0.2622 0.9371